This entry pairs a crystal structure of Sr2La2MgMnO8 with its simulated PXRD pattern. Radiation: CuKα. Structure: a crystal structure in Alexandria, relaxed with PBE+U.

Peak list (10 most intense, 2θ = 10–90°, low angle first)
d [Å]  Position (°2θ)  I/Imax
3.717  23.94  33
3.135  28.47  17
2.849  31.40  100
2.752  32.54  77
2.108  42.89  15
2.068  43.77  44
1.946  46.68  42
1.627  56.55  13
1.607  57.34  37
1.424  65.54  13

```
14
Lattice="3.8920 0.0000 0.0000 0.0000 3.8920 0.0000 0.0000 0.0000 12.5415" Properties=species:S:1:pos:R:3 pbc="T T T"
Sr 0.0000 0.0000 1.7382
Sr 0.0000 0.0000 10.8033
La 1.9460 1.9460 4.4969
La 1.9460 1.9460 8.0446
Mg 0.0000 0.0000 6.2707
Mn 1.9460 1.9460 0.0000
O 0.0000 0.0000 4.1289
O 0.0000 0.0000 8.4125
O 0.0000 1.9460 0.0000
O 0.0000 1.9460 6.2707
O 1.9460 0.0000 0.0000
O 1.9460 0.0000 6.2707
O 1.9460 1.9460 2.0516
O 1.9460 1.9460 10.4899
```